# 1
Diffraction record for Th3Zn6CdAu2. The X-ray powder pattern is calculated, not measured: it uses a cell relaxed with PBE and λ = 1.5418 Å (Cu Kα).
Neutral-atom scattering factors, no anomalous dispersion.

```
Th3Zn6CdAu2
1.0
5.872 0.000 0.000
-2.936 5.086 0.000
0.000 0.000 8.704
Th Zn Cd Au
3 6 1 2
direct
0.000 0.000 0.000
0.333 0.667 0.608
0.667 0.333 0.392
0.186 0.372 0.271
0.186 0.814 0.271
0.372 0.186 0.729
0.628 0.814 0.271
0.814 0.186 0.729
0.814 0.628 0.729
0.000 0.000 0.500
0.333 0.667 0.989
0.667 0.333 0.011
```

Peak list (10 most intense, 5 to 70 degrees two-theta, by angle)
| index | 2θ (°) | d_spacing | I (rel.) |
| --- | --- | --- | --- |
| 0 1 2 | 26.97 | 3.307 | 22 |
| 1 1 0 | 30.44 | 2.936 | 100 |
| 0 0 3 | 30.82 | 2.901 | 22 |
| 0 1 3 | 35.63 | 2.520 | 42 |
| 0 2 1 | 36.82 | 2.441 | 42 |
| 1 1 2 | 36.93 | 2.434 | 96 |
| 1 1 3 | 43.87 | 2.064 | 29 |
| 0 3 2 | 58.42 | 1.580 | 28 |
| 1 1 5 | 61.97 | 1.497 | 24 |
| 2 2 0 | 63.35 | 1.468 | 26 |

***

# 2
Diffraction record for TiCd3Au4. The X-ray powder pattern is calculated, not measured: it uses a cell relaxed with PBE and λ = 1.5418 Å (Cu Kα).
Neutral-atom scattering factors, no anomalous dispersion.

```
TiCd3Au4
1.0
3.172 0.000 0.000
0.000 3.172 0.000
0.000 0.000 15.065
Ti Cd Au
1 3 4
direct
0.000 0.000 0.000
0.000 0.000 0.243
0.000 0.000 0.500
0.000 0.000 0.757
0.500 0.500 0.113
0.500 0.500 0.372
0.500 0.500 0.628
0.500 0.500 0.887
```

Peak list (10 most intense, 5 to 70 degrees two-theta, by angle)
| index | 2θ (°) | d_spacing | I (rel.) |
| --- | --- | --- | --- |
| 0 0 4 | 23.62 | 3.766 | 8 |
| 1 0 0 | 28.13 | 3.172 | 12 |
| 1 0 3 | 33.41 | 2.682 | 3 |
| 1 0 4 | 37.05 | 2.426 | 100 |
| 1 1 0 | 40.21 | 2.243 | 41 |
| 1 1 4 | 47.16 | 1.927 | 6 |
| 0 0 8 | 48.33 | 1.883 | 10 |
| 1 0 8 | 56.86 | 1.619 | 3 |
| 2 0 0 | 58.17 | 1.586 | 14 |
| 1 1 8 | 64.62 | 1.442 | 17 |